[1]
Lu3Co11B4: theoretical XRD peak list (CuKα), based on a cell relaxed with GGA-PBE.

Structural model:
```
Lu3Co11B4
1.0
4.964 0.000 0.000
-2.482 4.299 0.000
0.000 0.000 9.771
Lu Co B
3 11 4
direct
0.000 0.000 0.000
0.000 0.000 0.342
0.000 0.000 0.658
0.000 0.500 0.201
0.000 0.500 0.500
0.000 0.500 0.799
0.333 0.667 0.000
0.500 0.000 0.201
0.500 0.000 0.500
0.500 0.000 0.799
0.500 0.500 0.201
0.500 0.500 0.500
0.500 0.500 0.799
0.667 0.333 0.000
0.333 0.667 0.350
0.333 0.667 0.650
0.667 0.333 0.350
0.667 0.333 0.650
```

Largest 10 diffraction maxima, in order of rising 2θ, 5° ≤ 2θ ≤ 70°:
- d 4.299, 20.66 deg, intensity 30
- d 2.596, 34.55 deg, intensity 100
- d 2.482, 36.19 deg, intensity 29
- d 2.150, 42.03 deg, intensity 81
- d 2.124, 42.57 deg, intensity 7
- d 1.974, 45.97 deg, intensity 85
- d 1.628, 56.51 deg, intensity 10
- d 1.523, 60.83 deg, intensity 6
- d 1.454, 64.04 deg, intensity 34
- d 1.362, 68.97 deg, intensity 11

[2]
MgCo4B4: theoretical XRD peak list (CuKα), based on a cell relaxed with GGA-PBE.

Structural model:
```
MgCo4B4
1.0
4.965 0.000 0.000
0.000 4.965 0.000
0.000 0.000 6.710
Mg Co B
2 8 8
direct
0.250 0.750 0.250
0.750 0.250 0.750
0.005 0.750 0.606
0.250 0.505 0.894
0.250 0.995 0.894
0.495 0.750 0.606
0.505 0.250 0.394
0.750 0.005 0.106
0.750 0.495 0.106
0.995 0.250 0.394
0.072 0.250 0.097
0.250 0.072 0.597
0.250 0.428 0.597
0.428 0.250 0.097
0.572 0.750 0.903
0.750 0.572 0.403
0.750 0.928 0.403
0.928 0.750 0.903
```

Largest 10 diffraction maxima, in order of rising 2θ, 5° ≤ 2θ ≤ 70°:
- d 3.992, 22.27 deg, intensity 51
- d 2.780, 32.20 deg, intensity 49
- d 2.328, 38.67 deg, intensity 100
- d 2.108, 42.90 deg, intensity 57
- d 2.039, 44.42 deg, intensity 49
- d 1.852, 49.20 deg, intensity 47
- d 1.756, 52.10 deg, intensity 37
- d 1.678, 54.71 deg, intensity 13
- d 1.576, 58.57 deg, intensity 17
- d 1.484, 62.58 deg, intensity 12

[3]
MnCo21B6Mo: theoretical XRD peak list (CuKα), based on a cell relaxed with GGA-PBE.

Structural model:
```
MnCo21B6Mo
1.0
0.000 5.217 5.217
5.217 0.000 5.217
5.217 5.217 0.000
Mn Co B Mo
1 21 6 1
direct
0.000 0.000 0.000
0.102 0.633 0.633
0.250 0.250 0.250
0.250 0.250 0.589
0.250 0.250 0.912
0.250 0.589 0.250
0.250 0.589 0.912
0.250 0.912 0.250
0.250 0.912 0.589
0.392 0.869 0.869
0.589 0.250 0.250
0.589 0.250 0.912
0.589 0.912 0.250
0.633 0.102 0.633
0.633 0.633 0.102
0.633 0.633 0.633
0.869 0.392 0.869
0.869 0.869 0.392
0.869 0.869 0.869
0.912 0.250 0.250
0.912 0.250 0.589
0.912 0.589 0.250
0.525 0.525 0.975
0.525 0.975 0.525
0.525 0.975 0.975
0.975 0.525 0.525
0.975 0.525 0.975
0.975 0.975 0.525
0.500 0.500 0.500
```

Largest 10 diffraction maxima, in order of rising 2θ, 5° ≤ 2θ ≤ 70°:
- d 2.609, 34.38 deg, intensity 4
- d 2.333, 38.59 deg, intensity 28
- d 2.130, 42.44 deg, intensity 34
- d 2.008, 45.15 deg, intensity 100
- d 1.845, 49.41 deg, intensity 23
- d 1.764, 51.84 deg, intensity 27
- d 1.739, 52.63 deg, intensity 11
- d 1.650, 55.72 deg, intensity 3
- d 1.591, 57.96 deg, intensity 3
- d 1.573, 58.69 deg, intensity 9